Structure and computed powder XRD pattern of Cr4P3O12 (the PBE+U geometry in the Materials Project; Cu Kα (λ = 1.5418 Å)).

Main lines, low angle first (10 to 90 degrees two-theta):
| d/Å | two_theta | I (rel.) |
| --- | --- | --- |
| 8.324 | 10.63 | 61 |
| 6.307 | 14.04 | 53 |
| 3.544 | 25.13 | 40 |
| 3.227 | 27.64 | 100 |
| 3.036 | 29.42 | 32 |
| 2.770 | 32.32 | 43 |
| 2.761 | 32.43 | 29 |
| 2.741 | 32.68 | 80 |
| 2.222 | 40.61 | 23 |
| 1.713 | 53.49 | 20 |

```
Cr4P3O12
1.0
6.2119 -6.3074 0.0000
6.2119 6.3074 0.0000
-3.0824 0.0000 6.0720
Cr P O
8 6 24
Cartesian
3.9000 6.2671 4.5540
2.3328 1.9907 2.2354
5.4413 3.2040 1.5180
0.7916 -1.9907 5.2714
8.5497 1.9907 0.8006
3.9000 -3.2040 4.5540
7.0085 -1.9907 3.8365
5.4413 -6.2671 1.5180
0.5368 1.4184 5.3126
3.9000 3.5328 4.5540
2.0780 -1.4184 2.2766
7.2633 1.4184 3.7953
5.4413 -3.5328 1.5180
8.8045 -1.4184 0.7594
-1.0258 1.4522 5.0065
2.7127 4.5932 4.5479
1.2344 2.3065 4.2200
3.8348 2.0597 0.6446
5.0874 4.5932 4.5601
0.5155 -1.4522 1.9705
3.9730 2.6872 3.2815
2.5782 0.0066 2.2252
1.0370 -0.0066 5.2611
3.8271 2.6872 5.8264
2.7756 -2.3065 1.1840
2.2936 -2.0597 3.6806
7.0477 2.0597 2.3914
6.5656 2.3065 4.8879
5.5142 -2.6872 0.2455
8.3043 0.0066 0.8108
6.7631 -0.0066 3.8468
5.3683 -2.6872 2.7905
8.8258 1.4522 4.1014
4.2539 -4.5932 1.5119
5.5065 -2.0597 5.4274
8.1069 -2.3065 1.8519
6.6286 -4.5932 1.5241
10.3670 -1.4522 1.0655
```

---

Structure and computed powder XRD pattern of CrPO4 (the PBE+U geometry in the Materials Project; Cu Kα (λ = 1.5418 Å)).

Main lines, low angle first (10 to 90 degrees two-theta):
| d/Å | two_theta | I (rel.) |
| --- | --- | --- |
| 4.941 | 17.95 | 59 |
| 4.280 | 20.75 | 73 |
| 3.735 | 23.82 | 28 |
| 3.424 | 26.03 | 98 |
| 2.853 | 31.36 | 66 |
| 2.445 | 36.75 | 100 |
| 2.374 | 37.91 | 27 |
| 2.192 | 41.19 | 25 |
| 1.712 | 53.53 | 37 |
| 1.426 | 65.44 | 33 |

```
CrPO4
1.0
9.8818 0.0000 0.0000
0.0000 5.7050 0.0000
0.0000 0.0000 4.7484
Cr P O
4 4 16
Cartesian
2.2713 1.4263 0.1991
2.6695 4.2788 2.5733
7.2122 1.4263 2.1751
7.6104 4.2788 4.5493
0.8961 4.2788 0.4801
4.0448 1.4263 2.8544
5.8370 4.2788 1.8941
8.9857 1.4263 4.2683
0.5853 1.4263 3.9316
1.1158 4.2788 3.7233
1.6619 3.0835 1.2102
1.6619 5.4740 1.2102
3.2789 0.2310 3.5844
3.2789 2.6215 3.5844
3.8251 1.4263 1.3490
4.3555 4.2788 1.5574
5.5262 1.4263 3.1910
6.0567 4.2788 3.3994
6.6028 3.0835 1.1640
6.6028 5.4740 1.1640
8.2198 0.2310 3.5382
8.2198 2.6215 3.5382
8.7660 1.4263 1.0252
9.2964 4.2788 0.8168
```

---

Structure and computed powder XRD pattern of CrPO4 (the PBE+U geometry in the Materials Project; Cu Kα (λ = 1.5418 Å)).

Main lines, low angle first (10 to 90 degrees two-theta):
| d/Å | two_theta | I (rel.) |
| --- | --- | --- |
| 8.826 | 10.02 | 43 |
| 6.077 | 14.58 | 100 |
| 4.473 | 19.85 | 20 |
| 4.413 | 20.12 | 16 |
| 4.140 | 21.46 | 38 |
| 3.612 | 24.65 | 13 |
| 2.942 | 30.38 | 11 |
| 2.893 | 30.91 | 24 |
| 2.708 | 33.08 | 36 |
| 2.514 | 35.71 | 21 |

```
CrPO4
1.0
5.5726 0.0000 0.0000
1.3988 6.3096 0.0000
1.5082 2.4676 8.8262
Cr P O
4 4 16
Cartesian
1.5273 1.0343 1.7347
2.7243 2.4372 5.0024
5.7552 6.3400 3.8239
6.9522 7.7429 7.0915
2.6686 5.8058 4.6614
4.4423 7.6045 7.9814
4.0373 1.1727 0.8448
5.8109 2.9714 4.1648
2.0801 6.0502 3.2025
1.4651 2.4473 3.3326
3.1425 6.9461 7.5086
2.7040 5.9734 0.3959
3.0033 4.3769 4.9621
3.9660 6.6908 4.7947
2.8134 2.1196 0.7204
3.6251 2.2032 6.7425
4.8544 6.5740 2.0837
5.6661 6.6576 8.1058
4.5135 2.0864 4.0315
5.4762 4.4003 3.8642
5.7755 2.8038 8.4303
5.3371 1.8311 1.3176
7.0144 6.3298 5.4936
6.3994 2.7270 5.6237
```

---

Structure and computed powder XRD pattern of CrP4O12 (the PBE+U geometry in the Materials Project; Cu Kα (λ = 1.5418 Å)).

Main lines, low angle first (10 to 90 degrees two-theta):
| d/Å | two_theta | I (rel.) |
| --- | --- | --- |
| 5.532 | 16.02 | 67 |
| 5.348 | 16.58 | 76 |
| 4.742 | 18.71 | 89 |
| 3.794 | 23.45 | 99 |
| 3.318 | 26.87 | 100 |
| 3.260 | 27.36 | 94 |
| 3.167 | 28.18 | 45 |
| 3.027 | 29.51 | 30 |
| 2.814 | 31.80 | 55 |
| 2.766 | 32.37 | 89 |

```
CrP4O12
1.0
4.0824 -5.7069 0.0000
4.0824 5.7069 0.0000
-0.4197 0.0000 9.4841
Cr P O
2 8 24
Cartesian
3.7676 4.4697 7.1131
3.9775 -4.4697 2.3710
1.7331 0.4256 5.0158
3.3052 2.0320 9.1703
1.9430 -0.4256 0.2737
4.2300 2.0320 5.0559
3.5151 -2.0320 4.4282
5.8021 0.4256 9.2104
4.4399 -2.0320 0.3138
6.0120 -0.4256 4.4683
1.2610 1.2166 3.8256
0.7641 0.1328 6.1175
2.8520 3.0162 8.1027
0.9739 -0.1328 1.3754
2.1502 0.9362 9.1966
4.0182 2.6409 1.0169
3.9367 2.6409 3.7251
1.0511 -1.2166 8.5677
2.9881 1.1792 5.6708
4.6833 3.0162 6.1234
2.3600 -0.9362 4.4546
3.1979 -1.1792 0.9287
4.5472 1.1792 8.5554
5.3851 0.9362 5.0295
3.0618 -3.0162 3.3607
4.7570 -1.1792 3.8133
6.6940 1.2166 0.9164
3.8084 -2.6409 5.7590
3.7269 -2.6409 8.4672
5.5949 -0.9362 0.2875
6.7712 0.1328 8.1087
4.8931 -3.0162 1.3814
6.9810 -0.1328 3.3666
6.4841 -1.2166 5.6585
```